For Li4Mn3OF11, a structure optimized by DFT (PBE+U) gives the calculated PXRD pattern in this record (Cu Kα, 1.54184 Å).
Peak positions follow from Bragg's law for the DFT cell and can differ from measured ones.

Structure:
Cell: 6.209 6.302 6.434 Å, 105.26 103.91 102.65°
Space group P1 (No. 1)
Inequivalent atoms, fractional coordinates:
Li  0.000  0.000  0.000 [1 per cell]
Li  0.076  0.209  0.611 [1 per cell]
Li  0.257  0.551  0.073 [1 per cell]
Li  0.728  0.713  0.465 [1 per cell]
Mn  0.372  0.853  0.734 [1 per cell]
Mn  0.471  0.098  0.395 [1 per cell]
Mn  0.725  0.435  0.885 [1 per cell]
O  0.475  0.158  0.707 [1 per cell]
F  0.068  0.881  0.663 [1 per cell]
F  0.186  0.169  0.337 [1 per cell]
F  0.266  0.555  0.762 [1 per cell]
F  0.368  0.737  0.391 [1 per cell]
F  0.407  0.010  0.076 [1 per cell]
F  0.597  0.499  0.129 [1 per cell]
F  0.675  0.834  0.813 [1 per cell]
F  0.721  0.445  0.578 [1 per cell]
F  0.756  0.025  0.425 [1 per cell]
F  0.982  0.698  0.045 [1 per cell]
F  0.988  0.276  0.918 [1 per cell]

Largest 10 diffraction maxima, in order of rising 2θ, 2θ = 10–90°:
hkl	two_theta	I_rel
0 0 1	15.05	60
1 0 0	15.42	91
1 0 -1	17.83	33
1 -1 0	18.17	97
1 1 -1	23.32	35
0 1 1	24.88	88
0 2 -1	29.43	100
2 -1 0	30.28	71
0 2 1	38.97	30
1 0 -3	43.76	45

=====

For LiCo2OF3, a structure optimized by DFT (PBE+U) gives the calculated PXRD pattern in this record (Cu Kα, 1.54184 Å).
Peak positions follow from Bragg's law for the DFT cell and can differ from measured ones.

Structure:
Cell: 6.100 6.100 8.614 Å, 90.00 90.00 90.00°
Space group P4_3 (No. 78)
Inequivalent atoms, fractional coordinates:
Li  0.010  0.249  0.000 [4 per cell]
Co  0.243  0.726  0.887 [4 per cell]
Co  0.254  0.510  0.237 [4 per cell]
O  0.254  0.473  0.011 [4 per cell]
F  0.004  0.759  0.260 [4 per cell]
F  0.022  0.248  0.250 [4 per cell]
F  0.236  0.505  0.492 [4 per cell]

Largest 10 diffraction maxima, in order of rising 2θ, 2θ = 10–90°:
hkl	two_theta	I_rel
1 0 0	14.52	23
1 1 1	23.06	26
1 0 2	25.31	10
2 0 0	29.30	53
2 1 1	34.50	100
0 0 4	41.91	17
1 3 2	51.96	19
3 2 1	55.37	34
4 0 0	60.77	52
1 4 5	86.73	11